Computed powder diffraction line list of PrNd4Th3S8 for a wavelength of 1.5418 Å, from a structure optimized by DFT (PBE).
No peak broadening, texture or thermal motion is included.

Most intense lines, 2θ from 15° to 90°, by angle:
2θ (°)	d (Å)	intensity
26.7	3.338	22.1
27.0	3.308	64.8
31.2	2.871	100.0
44.5	2.037	37.1
44.8	2.023	36.3
52.9	1.730	21.9
55.6	1.654	19.2
73.6	1.288	16.7
74.0	1.280	16.4
82.4	1.171	12.6

Cell and atoms:
```
PrNd4Th3S8
1.0
4.0465 2.3363 6.6768
-4.0465 2.3363 6.6768
0.0000 -4.6725 6.6768
Pr Nd Th S
1 4 3 8
direct
0.0000 0.0000 0.0000
0.0000 0.0000 0.5000
0.0000 0.5000 0.0000
0.5000 0.0000 0.0000
0.5000 0.5000 0.5000
0.0000 0.5000 0.5000
0.5000 0.0000 0.5000
0.5000 0.5000 0.0000
0.2500 0.2500 0.2500
0.2511 0.2511 0.7479
0.2511 0.7479 0.2511
0.2521 0.7489 0.7489
0.7479 0.2511 0.2511
0.7489 0.2521 0.7489
0.7489 0.7489 0.2521
0.7500 0.7500 0.7500
```